Starting from a structure optimized by DFT (PBE), the powder diffractogram of SbPdS was simulated for CuKα.

Cell and atoms:
Unit cell a=6.2750 b=6.2750 c=6.2750 alpha=90.00 beta=90.00 gamma=90.00
Space group P2_13 (No. 198)
One atom of each set of equivalent atoms:
Sb1 0.1204 0.3796 0.6204 (multiplicity 4)
Pd1 0.0102 0.9898 0.4898 (multiplicity 4)
S1 0.1103 0.1103 0.1103 (multiplicity 4)

Most intense lines, 2θ = 10–90°, low angle first:
2θ = 20.01°, rel. 25.1, (1 1 0)
2θ = 24.57°, rel. 23.8, (1 1 1)
2θ = 28.45°, rel. 60.1, (2 0 0)
2θ = 31.89°, rel. 100.0, (2 1 0)
2θ = 35.03°, rel. 56.5, (2 1 1)
2θ = 40.67°, rel. 36.3, (2 2 0)
2θ = 48.09°, rel. 96.7, (3 1 1)
2θ = 52.59°, rel. 23.2, (3 0 2)
2θ = 54.73°, rel. 32.0, (3 2 1)
2θ = 79.34°, rel. 31.4, (5 1 1)

=====

Starting from a structure optimized by DFT (PBE), the powder diffractogram of SbPd6S was simulated for CuKα.

Cell and atoms:
Unit cell a=4.5298 b=4.5298 c=21.7524 alpha=90.00 beta=90.00 gamma=120.00
Space group R-3m (No. 166, hexagonal axes)
One atom of each set of equivalent atoms:
Sb1 0.0000 0.0000 0.0000 (multiplicity 3)
Pd1 0.0000 0.0000 0.1295 (multiplicity 6)
Pd2 0.0000 0.0000 0.2538 (multiplicity 6)
Pd3 0.0000 0.0000 0.3813 (multiplicity 6)
S1 0.0000 0.0000 0.5000 (multiplicity 3)

Most intense lines, 2θ = 10–90°, low angle first:
2θ = 36.90°, rel. 7.6, (1 0 7)
2θ = 39.80°, rel. 100.0, (1 1 0)
2θ = 40.36°, rel. 91.3, (0 1 8)
2θ = 57.98°, rel. 30.8, (2 0 8)
2θ = 72.25°, rel. 16.6, (3 0 0)
2θ = 72.63°, rel. 31.0, (1 2 8)
2θ = 73.76°, rel. 12.7, (1 0 16)
2θ = 78.28°, rel. 4.4, (1 1 15)
2θ = 85.81°, rel. 10.6, (2 2 0)
2θ = 87.25°, rel. 8.4, (0 2 16)

=====

Starting from a structure optimized by DFT (PBE), the powder diffractogram of SmPd3S4 was simulated for CuKα.

Cell and atoms:
Unit cell a=6.7481 b=6.7481 c=6.7481 alpha=90.00 beta=90.00 gamma=90.00
Space group Pm-3n (No. 223)
One atom of each set of equivalent atoms:
Sm1 0.0000 0.0000 0.0000 (multiplicity 2)
Pd1 0.0000 0.2500 0.5000 (multiplicity 6)
S1 0.2500 0.2500 0.2500 (multiplicity 8)

Most intense lines, 2θ = 10–90°, low angle first:
2θ = 29.60°, rel. 90.9, (2 1 0)
2θ = 32.50°, rel. 100.0, (2 1 1)
2θ = 46.63°, rel. 16.3, (2 2 2)
2θ = 48.65°, rel. 22.4, (3 2 0)
2θ = 50.61°, rel. 57.1, (3 2 1)
2θ = 54.38°, rel. 30.7, (4 0 0)
2θ = 63.14°, rel. 20.2, (4 2 1)
2θ = 75.94°, rel. 17.4, (5 2 0)
2θ = 80.52°, rel. 19.3, (4 4 0)
2θ = 89.54°, rel. 17.3, (6 1 1)